Entry 1:
Calculated powder diffraction line list
Compound: Na2SrPaTe4
Radiation: λ = 1.5418 Å (Cu Kα)
Structure: a cell relaxed with PBE
Neutral-atom scattering factors, no anomalous dispersion.

Crystal structure
abc: 6.397 6.397 13.415
angles: 90.00 90.00 90.00
Space group I-4m2 (No. 119)
Inequivalent atoms, fractional coordinates:
Na 0.000 0.000 0.000 [2 per cell]
Na 0.000 0.500 0.250 [2 per cell]
Sr 0.000 0.500 0.750 [2 per cell]
Pa 0.000 0.000 0.500 [2 per cell]
Te 0.000 0.000 0.274 [4 per cell]
Te 0.000 0.500 0.000 [4 per cell]

Principal peaks in the range 15° ≤ 2θ ≤ 90°, sorted by position:
- 15.3°, I = 66, hkl 1 0 1
- 26.6°, I = 51, hkl 0 0 4
- 27.9°, I = 100, hkl 2 0 0
- 32.0°, I = 23, hkl 2 1 1
- 38.9°, I = 74, hkl 2 0 4
- 39.9°, I = 38, hkl 2 2 0
- 48.6°, I = 39, hkl 2 2 4
- 71.7°, I = 24, hkl 4 2 4

Entry 2:
Calculated powder diffraction line list
Compound: NaPaTe3
Radiation: λ = 1.5418 Å (Cu Kα)
Structure: a cell relaxed with PBE
Neutral-atom scattering factors, no anomalous dispersion.

Crystal structure
abc: 7.458 10.018 16.796
angles: 90.00 90.00 90.00
Space group Fmmm (No. 69)
Inequivalent atoms, fractional coordinates:
Na 0.227 0.000 0.000 [8 per cell]
Pa 0.250 0.250 0.250 [8 per cell]
Te 0.000 0.000 0.179 [8 per cell]
Te 0.000 0.164 0.385 [16 per cell]

Principal peaks in the range 15° ≤ 2θ ≤ 90°, sorted by position:
- 29.8°, I = 74, hkl 1 3 1
- 30.5°, I = 40, hkl 1 1 5
- 31.8°, I = 90, hkl 2 2 2
- 32.1°, I = 100, hkl 2 0 4
- 33.5°, I = 44, hkl 1 3 3
- 36.8°, I = 42, hkl 0 2 6
- 36.9°, I = 43, hkl 2 2 4
- 62.9°, I = 31, hkl 2 4 8

Entry 3:
Calculated powder diffraction line list
Compound: NaPa2Te3
Radiation: λ = 1.5418 Å (Cu Kα)
Structure: a cell relaxed with PBE
Neutral-atom scattering factors, no anomalous dispersion.

Crystal structure
abc: 4.165 6.174 13.897
angles: 90.00 90.00 90.00
Space group Immm (No. 71)
Inequivalent atoms, fractional coordinates:
Na 0.000 0.000 0.000 [2 per cell]
Pa 0.000 0.000 0.330 [4 per cell]
Te 0.000 0.500 0.000 [2 per cell]
Te 0.000 0.500 0.337 [4 per cell]

Principal peaks in the range 15° ≤ 2θ ≤ 90°, sorted by position:
- 15.7°, I = 18, hkl 0 1 1
- 28.8°, I = 100, hkl 1 0 3
- 28.9°, I = 44, hkl 0 2 0
- 38.9°, I = 22, hkl 0 0 6
- 41.3°, I = 67, hkl 1 2 3
- 49.2°, I = 23, hkl 0 2 6
- 53.0°, I = 16, hkl 2 2 0
- 67.8°, I = 16, hkl 1 4 3

Entry 4:
Calculated powder diffraction line list
Compound: Na15Pb
Radiation: λ = 1.5418 Å (Cu Kα)
Structure: a cell relaxed with PBE
Neutral-atom scattering factors, no anomalous dispersion.

Crystal structure
abc: 7.3380 7.3380 11.9827
angles: 90.00 90.00 120.00
Space group P-6m2 (No. 187)
Inequivalent atoms, fractional coordinates:
Na 0.0000 0.0000 0.0000 [1 per cell]
Na 0.0038 0.5019 0.5000 [3 per cell]
Na 0.3235 0.1617 0.2616 [6 per cell]
Na 0.3333 0.6667 0.2407 [2 per cell]
Na 0.5028 0.0057 0.0000 [3 per cell]
Pb 0.0000 0.0000 0.5000 [1 per cell]

Principal peaks in the range 15° ≤ 2θ ≤ 90°, sorted by position:
- 15.8°, I = 68, hkl 1 0 1
- 20.4°, I = 35, hkl 1 0 2
- 25.4°, I = 21, hkl 1 1 1
- 28.1°, I = 29, hkl 2 0 0
- 29.8°, I = 25, hkl 0 0 4
- 31.9°, I = 100, hkl 2 0 2
- 33.1°, I = 26, hkl 1 1 3
- 54.2°, I = 26, hkl 2 0 6

Entry 5:
Calculated powder diffraction line list
Compound: Na2Pb
Radiation: λ = 1.5418 Å (Cu Kα)
Structure: a cell relaxed with PBE
Neutral-atom scattering factors, no anomalous dispersion.

Crystal structure
abc: 13.875 6.174 8.970
angles: 90.00 90.00 90.00
Space group Cmce (No. 64)
Inequivalent atoms, fractional coordinates:
Na 0.000 0.026 0.172 [8 per cell]
Na 0.250 0.244 0.750 [8 per cell]
Pb 0.108 0.000 0.500 [8 per cell]

Principal peaks in the range 15° ≤ 2θ ≤ 90°, sorted by position:
- 18.6°, I = 100, hkl 1 1 1
- 19.8°, I = 27, hkl 0 0 2
- 26.0°, I = 23, hkl 3 1 1
- 28.9°, I = 17, hkl 0 2 0
- 32.6°, I = 30, hkl 4 0 2
- 33.9°, I = 36, hkl 1 1 3
- 35.3°, I = 23, hkl 0 2 2
- 36.9°, I = 38, hkl 5 1 1

Entry 6:
Calculated powder diffraction line list
Compound: Na6Pb
Radiation: λ = 1.5418 Å (Cu Kα)
Structure: a cell relaxed with PBE
Neutral-atom scattering factors, no anomalous dispersion.

Crystal structure
abc: 5.6538 5.6538 24.4941
angles: 90.00 90.00 120.00
Space group R-3m (No. 166, hexagonal axes)
Inequivalent atoms, fractional coordinates:
Na 0.0000 0.0000 0.0783 [6 per cell]
Na 0.0000 0.0000 0.2098 [6 per cell]
Na 0.0000 0.0000 0.3653 [6 per cell]
Pb 0.0000 0.0000 0.5000 [3 per cell]

Principal peaks in the range 15° ≤ 2θ ≤ 90°, sorted by position:
- 18.5°, I = 95, hkl 1 0 1
- 19.5°, I = 85, hkl 0 1 2
- 23.3°, I = 45, hkl 1 0 4
- 25.7°, I = 40, hkl 0 1 5
- 31.4°, I = 98, hkl 1 0 7
- 31.7°, I = 100, hkl 1 1 0
- 33.5°, I = 51, hkl 1 1 3
- 56.2°, I = 37, hkl 2 1 7

> Which formula does entry 5 have?

Na2Pb